This entry pairs a crystal structure of Ho5Ga3 with its simulated X-ray powder pattern. Radiation: Cu Kα X-rays. Structure: a crystal structure in the Materials Project, relaxed with PBE.
Neutral-atom scattering factors, no anomalous dispersion.

Cell and atoms:
a = 8.5716 Å, b = 8.5716 Å, c = 6.5158 Å
α = 90.00°, β = 90.00°, γ = 120.00°
Space group P6_3/mcm (No. 193)
Asymmetric unit:
Ho 0.0000 0.2411 0.2500 (multiplicity 6)
Ho 0.3333 0.6667 0.0000 (multiplicity 4)
Ga 0.0000 0.4040 0.7500 (multiplicity 6)

Principal peaks in the range 2θ from 10° to 90°, low angle first:
Position (°2θ), I_rel
30.0, 33.6
31.9, 42.2
34.6, 83.8
34.8, 100.0
36.3, 34.0
53.3, 29.6

This entry pairs a crystal structure of CsK2RuF6 with its simulated X-ray powder pattern. Radiation: Cu Kα X-rays. Structure: a crystal structure in the Materials Project, relaxed with PBE.
Neutral-atom scattering factors, no anomalous dispersion.

Cell and atoms:
a = 9.552 Å, b = 9.552 Å, c = 9.552 Å
α = 90.00°, β = 90.00°, γ = 90.00°
Space group Fm-3m (No. 225)
Asymmetric unit:
Cs 0.000 0.000 0.000 (multiplicity 4)
K 0.250 0.250 0.250 (multiplicity 8)
Ru 0.000 0.000 0.500 (multiplicity 4)
F 0.000 0.000 0.288 (multiplicity 24)

Principal peaks in the range 2θ from 10° to 90°, low angle first:
Position (°2θ), I_rel
18.6, 55.1
26.4, 100.0
37.7, 40.7
42.3, 22.0
46.6, 36.4
54.3, 23.7

This entry pairs a crystal structure of TaTi with its simulated X-ray powder pattern. Radiation: Cu Kα X-rays. Structure: a crystal structure in the Materials Project, relaxed with PBE.
Neutral-atom scattering factors, no anomalous dispersion.

Cell and atoms:
a = 3.294 Å, b = 4.606 Å, c = 4.660 Å
α = 90.00°, β = 90.00°, γ = 90.00°
Space group Cmmm (No. 65)
Asymmetric unit:
Ta 0.000 0.000 0.000 (multiplicity 2)
Ti 0.000 0.500 0.500 (multiplicity 2)

Principal peaks in the range 2θ from 10° to 90°, low angle first:
Position (°2θ), I_rel
19.0, 48.3
33.4, 25.0
38.6, 25.2
38.8, 100.0
39.1, 24.4
70.0, 25.8